This entry pairs a crystal structure of LaPmBr4 with its calculated XRD peak list. Radiation: Cu Kα (λ = 1.5418 Å). Structure: DFT lattice parameters and positions (GGA-PBE).
Lines closer than 0.1° are merged.

Crystal structure
a = 7.0136 Å, b = 4.0477 Å, c = 7.9272 Å
α = 90.00°, β = 106.82°, γ = 90.00°
Element x y z (fractional)
La: 0.0000 0.0000 0.0000
Pm: 0.5000 0.5000 0.0000
Br: 0.2574 0.5000 0.2521
Br: 0.2606 0.0000 0.7541
Br: 0.7394 0.0000 0.2459
Br: 0.7426 0.5000 0.7479

Principal peaks in the range 2θ = 10–90°, by intensity:
| two_theta | I_rel | (hkl) |
| --- | --- | --- |
| 29.90 | 100 | 1 1 1 |
| 11.66 | 98 | 0 0 1 |
| 30.01 | 50 | 2 0 -2 |
| 44.77 | 48 | 0 2 0 |
| 25.71 | 47 | 2 0 -1 |
| 40.91 | 42 | 1 1 -3 |
| 40.72 | 21 | 2 0 2 |
| 54.85 | 18 | 2 2 -2 |
| 32.27 | 17 | 1 1 -2 |
| 73.31 | 15 | 1 3 1 |